Computed X-ray diffraction stick pattern
Compound: CrBiWO6
Radiation: CuKα
Structure: a cell relaxed with PBE+U
Neutral-atom scattering factors, no anomalous dispersion.

Top 10 peaks for 2θ from 15° to 90°, low angle first:
two_theta, I/Imax, hkl
17.4, 100, 0 0 2
24.4, 48, 0 2 0
24.9, 37, 2 0 0
30.2, 94, 0 2 2
30.5, 90, 2 0 2
35.1, 44, 2 2 0
39.5, 51, 2 2 2
50.7, 52, 2 2 4
59.8, 28, 2 4 2
60.4, 40, 2 0 6

```
data_CrBiWO6
_chemical_formula_sum 'Cr4 Bi4 W4 O24'
_space_group_name_H-M_alt 'I m m a'
_space_group_IT_number 74
_space_group_name_Hall '-I 2b 2'
_cell_length_a 7.1540
_cell_length_b 7.2906
_cell_length_c 10.1763
_cell_angle_alpha 90.00
_cell_angle_beta 90.00
_cell_angle_gamma 90.00
loop_
_atom_site_label
_atom_site_type_symbol
_atom_site_fract_x
_atom_site_fract_y
_atom_site_fract_z
_atom_site_occupancy
Cr1 Cr 0.2500 0.2500 0.2500 1
Bi1 Bi 0.0000 0.0000 0.0000 1
W1 W 0.0000 0.0000 0.5000 1
O1 O 0.0000 0.2500 0.1752 1
O2 O 0.0000 0.2500 0.5634 1
O3 O 0.1984 0.0650 0.3790 1
```

---

Computed X-ray diffraction stick pattern
Compound: ZnCrBiO5
Radiation: CuKα
Structure: a cell relaxed with PBE+U
Neutral-atom scattering factors, no anomalous dispersion.

Top 10 peaks for 2θ from 15° to 90°, low angle first:
two_theta, I/Imax, hkl
17.9, 38, 1 0 0
19.3, 27, 0 2 1
24.8, 78, 1 1 -2
29.6, 100, 1 2 1
30.6, 31, 0 4 0
33.0, 44, 1 3 -2
34.2, 42, 2 1 -1
37.1, 25, 0 1 3
40.8, 24, 2 1 -3
51.8, 35, 2 0 2

```
data_ZnCrBiO5
_chemical_formula_sum 'Zn4 Cr4 Bi4 O20'
_space_group_name_H-M_alt 'P 1 21/c 1'
_space_group_IT_number 14
_cell_length_a 5.3868
_cell_length_b 11.7039
_cell_length_c 8.1001
_cell_angle_alpha 90.00
_cell_angle_beta 113.30
_cell_angle_gamma 90.00
loop_
_space_group_symop_operation_xyz
'x,y,z'
'-x,-y,-z'
'-x,y+1/2,-z+1/2'
'x,-y+1/2,z+1/2'
loop_
_atom_site_label
_atom_site_type_symbol
_atom_site_fract_x
_atom_site_fract_y
_atom_site_fract_z
_atom_site_occupancy
Zn1 Zn 0.0543 0.0818 0.1714 1
Cr1 Cr 0.3149 0.6440 0.0313 1
Bi1 Bi 0.4415 0.1037 0.8302 1
O1 O 0.1980 0.7132 0.4903 1
O2 O 0.1986 0.5732 0.1697 1
O3 O 0.2562 0.0241 0.0111 1
O4 O 0.2692 0.5775 0.8332 1
O5 O 0.3454 0.1790 0.3494 1
```

---

Computed X-ray diffraction stick pattern
Compound: Cs5BiMo4O16
Radiation: CuKα
Structure: a cell relaxed with PBE+U
Neutral-atom scattering factors, no anomalous dispersion.

Top 10 peaks for 2θ from 15° to 90°, low angle first:
two_theta, I/Imax, hkl
25.0, 100, 2 1 3
25.3, 47, 1 3 1
26.1, 43, 1 -2 2
27.3, 43, 0 0 4
29.5, 34, -1 2 2
34.8, 13, 1 3 -3
37.9, 17, 3 -1 2
46.8, 15, 2 1 7
47.3, 17, 0 5 -2
51.3, 12, 2 6 1

```
data_Cs5BiMo4O16
_chemical_formula_sum 'Cs10 Bi2 Mo8 O32'
_space_group_name_H-M_alt 'P 1'
_space_group_IT_number 1
_cell_length_a 8.5135
_cell_length_b 10.7063
_cell_length_c 13.7444
_cell_angle_alpha 83.95
_cell_angle_beta 72.07
_cell_angle_gamma 69.86
loop_
_space_group_symop_operation_xyz
'x,y,z'
loop_
_atom_site_label
_atom_site_type_symbol
_atom_site_fract_x
_atom_site_fract_y
_atom_site_fract_z
_atom_site_occupancy
Cs1 Cs 0.0000 0.0000 0.0000 1
Cs2 Cs 0.0079 0.6991 0.7504 1
Cs3 Cs 0.2429 0.3000 0.7483 1
Cs4 Cs 0.2656 0.6979 0.2458 1
Cs5 Cs 0.3875 0.1964 0.0043 1
Cs6 Cs 0.4925 0.3073 0.2415 1
Cs7 Cs 0.6088 0.8055 0.0068 1
Cs8 Cs 0.6305 0.1999 0.4987 1
Cs9 Cs 0.8667 0.8003 0.5022 1
Cs10 Cs 0.8756 0.4999 0.2508 1
Bi1 Bi 0.2436 0.9993 0.5122 1
Bi2 Bi 0.6301 0.5008 0.7379 1
Mo1 Mo 0.0347 0.3863 0.5034 1
Mo2 Mo 0.0919 0.1053 0.2677 1
Mo3 Mo 0.2323 0.6048 0.9820 1
Mo4 Mo 0.4152 0.8876 0.7462 1
Mo5 Mo 0.4581 0.6132 0.5035 1
Mo6 Mo 0.6437 0.8970 0.2698 1
Mo7 Mo 0.7889 0.3968 0.9807 1
Mo8 Mo 0.8370 0.1136 0.7458 1
O1 O 0.0051 0.1545 0.7700 1
O2 O 0.0144 0.6764 0.9730 1
O3 O 0.0161 0.3272 0.9710 1
O4 O 0.1088 0.4924 0.4050 1
O5 O 0.1192 0.0137 0.3884 1
O6 O 0.1843 0.2348 0.2436 1
O7 O 0.2008 0.9957 0.1606 1
O8 O 0.2130 0.2296 0.5100 1
O9 O 0.2225 0.8482 0.7668 1
O10 O 0.2365 0.4938 0.0881 1
O11 O 0.2705 0.7672 0.5086 1
O12 O 0.2994 0.7345 0.0072 1
O13 O 0.3794 0.5155 0.8605 1
O14 O 0.3866 0.9921 0.8470 1
O15 O 0.4239 0.5261 0.6259 1
O16 O 0.4512 0.9769 0.6252 1
O17 O 0.4881 0.5059 0.4041 1
O18 O 0.4954 0.9864 0.3911 1
O19 O 0.5784 0.7662 0.2447 1
O20 O 0.6007 0.7313 0.7397 1
O21 O 0.6392 0.0075 0.1634 1
O22 O 0.6482 0.6565 0.4811 1
O23 O 0.6566 0.2689 0.7398 1
O24 O 0.6789 0.5064 0.0877 1
O25 O 0.6987 0.2660 0.0054 1
O26 O 0.7597 0.4872 0.8601 1
O27 O 0.7646 0.0071 0.8446 1
O28 O 0.8616 0.8277 0.2792 1
O29 O 0.8652 0.1774 0.2769 1
O30 O 0.8646 0.3484 0.4789 1
O31 O 0.9256 0.0265 0.6232 1
O32 O 0.9472 0.4733 0.6258 1
```

---

Computed X-ray diffraction stick pattern
Compound: Cs5BiMo4O16
Radiation: CuKα
Structure: a cell relaxed with PBE+U
Neutral-atom scattering factors, no anomalous dispersion.

Top 10 peaks for 2θ from 15° to 90°, low angle first:
two_theta, I/Imax, hkl
25.0, 100, 2 1 3
25.3, 47, 1 3 1
26.1, 43, -1 2 1
27.3, 43, 0 0 4
29.5, 34, 1 -2 3
34.8, 14, 1 3 4
37.9, 17, 3 -1 2
40.1, 14, 1 3 5
46.8, 15, 2 1 7
47.3, 17, 0 5 2

```
data_Cs5BiMo4O16
_chemical_formula_sum 'Cs10 Bi2 Mo8 O32'
_space_group_name_H-M_alt 'P 1'
_space_group_IT_number 1
_cell_length_a 8.5135
_cell_length_b 10.7063
_cell_length_c 13.7521
_cell_angle_alpha 83.88
_cell_angle_beta 71.97
_cell_angle_gamma 69.86
loop_
_space_group_symop_operation_xyz
'x,y,z'
loop_
_atom_site_label
_atom_site_type_symbol
_atom_site_fract_x
_atom_site_fract_y
_atom_site_fract_z
_atom_site_occupancy
Cs1 Cs 0.0000 0.0000 0.0000 1
Cs2 Cs 0.0022 0.7027 0.7499 1
Cs3 Cs 0.1266 0.2027 0.5013 1
Cs4 Cs 0.1288 0.9054 0.2512 1
Cs5 Cs 0.3744 0.5000 0.2512 1
Cs6 Cs 0.3953 0.8926 0.7427 1
Cs7 Cs 0.5125 0.3926 0.5085 1
Cs8 Cs 0.6174 0.5035 0.7457 1
Cs9 Cs 0.7375 0.0035 0.5055 1
Cs10 Cs 0.7544 0.4054 0.0000 1
Bi1 Bi 0.3705 0.2027 0.0135 1
Bi2 Bi 0.7584 0.7027 0.2377 1
Mo1 Mo 0.1609 0.5931 0.0038 1
Mo2 Mo 0.2139 0.3103 0.7679 1
Mo3 Mo 0.3562 0.8103 0.4833 1
Mo4 Mo 0.5391 0.0931 0.2474 1
Mo5 Mo 0.5898 0.8123 0.0038 1
Mo6 Mo 0.7726 0.0951 0.7679 1
Mo7 Mo 0.9149 0.5951 0.4833 1
Mo8 Mo 0.9679 0.3123 0.2474 1
O1 O 0.9999 0.5434 0.9824 1
O2 O 0.0530 0.2230 0.1264 1
O3 O 0.0758 0.6824 0.1248 1
O4 O 0.1400 0.3517 0.2680 1
O5 O 0.1397 0.5225 0.4730 1
O6 O 0.1433 0.8722 0.4708 1
O7 O 0.2371 0.6940 0.9053 1
O8 O 0.2431 0.2192 0.8896 1
O9 O 0.3082 0.4403 0.7449 1
O10 O 0.3260 0.1935 0.6622 1
O11 O 0.3368 0.4351 0.0112 1
O12 O 0.3567 0.0434 0.2688 1
O13 O 0.3627 0.6935 0.5890 1
O14 O 0.4063 0.9703 0.0112 1
O15 O 0.4275 0.9403 0.5063 1
O16 O 0.5072 0.7192 0.3615 1
O17 O 0.5169 0.1940 0.3459 1
O18 O 0.5538 0.7230 0.1248 1
O19 O 0.5750 0.1824 0.1264 1
O20 O 0.6120 0.7114 0.9053 1
O21 O 0.6216 0.1862 0.8896 1
O22 O 0.7014 0.9651 0.7449 1
O23 O 0.7344 0.9327 0.2413 1
O24 O 0.7661 0.2119 0.6622 1
O25 O 0.7824 0.8517 0.9831 1
O26 O 0.7920 0.4703 0.2400 1
O27 O 0.8028 0.7119 0.5890 1
O28 O 0.8206 0.4651 0.5063 1
O29 O 0.8857 0.6862 0.3615 1
O30 O 0.8917 0.2114 0.3459 1
O31 O 0.9872 0.0225 0.7782 1
O32 O 0.9885 0.3722 0.7804 1
```

---

Computed X-ray diffraction stick pattern
Compound: Sr3Y2FeCu3BiO12
Radiation: CuKα
Structure: a cell relaxed with PBE+U
Neutral-atom scattering factors, no anomalous dispersion.

Top 10 peaks for 2θ from 15° to 90°, low angle first:
two_theta, I/Imax, hkl
16.9, 26, 0 0 2
23.8, 41, 2 0 1
27.6, 27, 1 1 -3
28.5, 29, 2 1 -3
29.9, 100, 3 1 -2
31.0, 98, 0 2 0
34.4, 41, 2 1 2
42.5, 33, 3 1 2
44.1, 29, 2 2 -4
46.7, 33, 0 2 4

```
data_Sr3Y2FeCu3BiO12
_chemical_formula_sum 'Sr6 Y4 Fe2 Cu6 Bi2 O24'
_space_group_name_H-M_alt 'P 1 21/m 1'
_space_group_IT_number 11
_cell_length_a 10.6155
_cell_length_b 5.7722
_cell_length_c 11.7758
_cell_angle_alpha 90.00
_cell_angle_beta 116.77
_cell_angle_gamma 90.00
loop_
_space_group_symop_operation_xyz
'x,y,z'
'-x,-y,-z'
'-x,y+1/2,-z'
'x,-y+1/2,z'
loop_
_atom_site_label
_atom_site_type_symbol
_atom_site_fract_x
_atom_site_fract_y
_atom_site_fract_z
_atom_site_occupancy
Sr1 Sr 0.0186 0.2500 0.4140 1
Sr2 Sr 0.0878 0.7500 0.2007 1
Sr3 Sr 0.4239 0.7500 0.7534 1
Y1 Y 0.2055 0.7500 0.9747 1
Y2 Y 0.2341 0.2500 0.7307 1
Fe1 Fe 0.1916 0.2500 0.2268 1
Cu1 Cu 0.2239 0.7500 0.4773 1
Cu2 Cu 0.2627 0.2500 0.0123 1
Cu3 Cu 0.4964 0.7500 0.0422 1
Bi1 Bi 0.4060 0.2500 0.5200 1
O1 O 0.0006 0.7500 0.3550 1
O2 O 0.0036 0.7500 0.8127 1
O3 O 0.1976 0.0258 0.1001 1
O4 O 0.2081 0.5212 0.5947 1
O5 O 0.2544 0.0173 0.3682 1
O6 O 0.3254 0.0128 0.9222 1
O7 O 0.4614 0.7500 0.5745 1
O8 O 0.4664 0.2500 0.7834 1
```

---

Computed X-ray diffraction stick pattern
Compound: Sr3Y2FeCu3BiO12
Radiation: CuKα
Structure: a cell relaxed with PBE+U
Neutral-atom scattering factors, no anomalous dispersion.

Top 10 peaks for 2θ from 15° to 90°, low angle first:
two_theta, I/Imax, hkl
23.7, 10, 1 1 1
26.8, 10, 1 1 3
32.4, 100, 1 1 5
33.1, 59, 2 0 0
39.3, 12, 1 1 7
43.0, 16, 2 0 6
47.5, 35, 2 2 0
57.2, 14, 2 0 10
58.6, 36, 3 1 5
69.5, 10, 4 0 0

```
data_Sr3Y2FeCu3BiO12
_chemical_formula_sum 'Sr6 Y4 Fe2 Cu6 Bi2 O24'
_space_group_name_H-M_alt 'A m m 2'
_space_group_IT_number 38
_cell_length_a 5.4132
_cell_length_b 5.4135
_cell_length_c 20.0279
_cell_angle_alpha 90.00
_cell_angle_beta 90.00
_cell_angle_gamma 90.00
loop_
_space_group_symop_operation_xyz
'x,y,z'
'-x,-y,z'
'-x,y,z'
'x,-y,z'
'x,y+1/2,z+1/2'
'-x,-y+1/2,z+1/2'
'-x,y+1/2,z+1/2'
'x,-y+1/2,z+1/2'
loop_
_atom_site_label
_atom_site_type_symbol
_atom_site_fract_x
_atom_site_fract_y
_atom_site_fract_z
_atom_site_occupancy
Sr1 Sr 0.0000 0.0000 0.9996 1
Sr2 Sr 0.0000 0.0000 0.3581 1
Sr3 Sr 0.5000 0.0000 0.5000 1
Y1 Y 0.0000 0.0000 0.1811 1
Y2 Y 0.5000 0.0000 0.6836 1
Fe1 Fe 0.0000 0.0000 0.5836 1
Cu1 Cu 0.0000 0.0000 0.7665 1
Cu2 Cu 0.5000 0.0000 0.0980 1
Cu3 Cu 0.5000 0.0000 0.2662 1
Bi1 Bi 0.5000 0.0000 0.8682 1
O1 O 0.0000 0.0000 0.4879 1
O2 O 0.0000 0.0000 0.8789 1
O3 O 0.2483 0.2478 0.2513 1
O4 O 0.2481 0.2476 0.6062 1
O5 O 0.5000 0.0000 0.3792 1
O6 O 0.5000 0.0000 0.9746 1
```